Record 1
# PrTm2Cu6
Computed powder diffractogram, λ = 1.5418 Å (Cu Kα). Input: a PBE-relaxed structure.
No peak broadening, texture or thermal motion is included.

Peak list (10 most intense, 2θ from 5° to 70°, by angle)
2theta	I (rel.)
13.95	1
24.28	19
34.89	100
42.72	48
49.75	3
50.59	10
56.30	25
56.88	4
67.62	3
68.31	23

Structure:
Unit cell a=7.3313 b=7.3313 c=3.6087 alpha=90.00 beta=90.00 gamma=120.00
Space group P6/mmm (No. 191)
Inequivalent atoms, fractional coordinates:
Pr  0.0000  0.0000  0.0000 x1
Tm  0.3333  0.6667  0.0000 x2
Cu  0.0000  0.3370  0.5000 x6

Record 2
# ErSe2O8
Computed powder diffractogram, λ = 1.5418 Å (Cu Kα). Input: a PBE-relaxed structure.
No peak broadening, texture or thermal motion is included.

Peak list (10 most intense, 2θ from 5° to 70°, by angle)
2theta	I (rel.)
16.69	76
27.41	100
32.26	16
39.16	8
42.83	28
48.46	38
51.61	9
56.57	19
59.42	12
63.99	15

Structure:
Unit cell a=9.203 b=9.203 c=9.203 alpha=90.00 beta=90.00 gamma=90.00
Space group Fm-3m (No. 225)
Inequivalent atoms, fractional coordinates:
Er  0.000  0.000  0.000 x4
Se  0.250  0.250  0.250 x8
O  0.146  0.146  0.146 x32

Record 3
# CdCu2SbS4
Computed powder diffractogram, λ = 1.5418 Å (Cu Kα). Input: a PBE-relaxed structure.
No peak broadening, texture or thermal motion is included.

Peak list (10 most intense, 2θ from 5° to 70°, by angle)
2theta	I (rel.)
27.38	100
31.55	13
32.04	7
35.50	5
45.22	20
45.59	36
53.68	29
54.32	13
56.50	6
65.88	6

Structure:
Unit cell a=5.671 b=5.671 c=11.173 alpha=90.00 beta=90.00 gamma=90.00
Space group I-42m (No. 121)
Inequivalent atoms, fractional coordinates:
Cd  0.000  0.000  0.000 x2
Cu  0.000  0.500  0.250 x4
Sb  0.000  0.000  0.500 x2
S  0.250  0.250  0.355 x8